Computed powder diffractogram
Compound: LiNi2O4
Radiation: Cu Kα X-rays
Structure: a crystal structure in the Materials Project, relaxed with GGA+U
No peak broadening, texture or thermal motion is included.

Principal peaks in the range 2θ = 10–80°, by angle:
h k l, d [Å], I/Imax
1 0 1, 4.687, 100
2 -1 3, 2.448, 48
2 0 2, 2.344, 15
0 2 4, 2.030, 51
3 -2 5, 1.562, 19
2 0 8, 1.434, 15

Cell and atoms:
abc: 5.7446 5.7446 14.0411
angles: 90.00 90.00 120.00
Space group R-3 (No. 148, hexagonal axes)
Symmetry-distinct sites (fractional):
1 Li 0.0000 0.0000 0.1282
2 Ni 0.0000 0.0000 0.5000
3 Ni 0.0000 0.5000 0.0000
4 O 0.0000 0.0000 0.2657
5 O 0.0381 0.4997 0.2504